(1)
This entry pairs a crystal structure of Sr3Li8Au with its computed X-ray powder pattern. Radiation: λ = 1.5418 Å (Cu Kα). Structure: a crystal structure in Alexandria, relaxed with PBE.

Structural model:
```
data_Sr3Li8Au
_chemical_formula_sum 'Sr9 Li24 Au3'
_cell_length_a 6.1770
_cell_length_b 6.1770
_cell_length_c 29.2724
_cell_angle_alpha 90.00
_cell_angle_beta 90.00
_cell_angle_gamma 120.00
_symmetry_space_group_name_H-M 'R 3 m'
_symmetry_Int_Tables_number 160
_symmetry_space_group_name_Hall 'R 3 -2"'
loop_
_atom_site_label
_atom_site_type_symbol
_atom_site_fract_x
_atom_site_fract_y
_atom_site_fract_z
Sr1 Sr 0.0000 0.0000 0.0000
Sr2 Sr 0.0000 0.0000 0.1339
Sr3 Sr 0.0000 0.0000 0.5327
Li1 Li 0.0000 0.0000 0.3193
Li2 Li 0.0000 0.0000 0.8238
Li3 Li 0.1720 0.3439 0.9086
Li4 Li 0.1752 0.3504 0.3958
Au1 Au 0.0000 0.0000 0.6509
```

Main lines, low angle first (2θ from 10° to 90°):
Position (°2θ)	I/Imax	hkl
16.85	18	1 0 1
17.65	100	0 1 2
18.18	32	0 0 6
28.91	71	1 1 0
29.58	45	0 1 8
34.08	25	2 0 2
34.37	52	1 1 6
40.27	26	1 1 9
41.83	15	2 0 8
45.28	18	1 2 2
51.65	19	1 2 8
55.74	15	1 1 15

(2)
This entry pairs a crystal structure of Sr3Li6Au5 with its computed X-ray powder pattern. Radiation: λ = 1.5418 Å (Cu Kα). Structure: a crystal structure in Alexandria, relaxed with PBE.

Structural model:
```
data_Sr3Li6Au5
_chemical_formula_sum 'Sr6 Li12 Au10'
_cell_length_a 4.345
_cell_length_b 13.143
_cell_length_c 11.129
_cell_angle_alpha 90.00
_cell_angle_beta 90.00
_cell_angle_gamma 90.00
_symmetry_space_group_name_H-M 'P m m n'
_symmetry_Int_Tables_number 59
loop_
_symmetry_equiv_pos_as_xyz
'x,y,z'
'-x,-y,-z'
'-x+1/2,-y+1/2,z'
'x+1/2,y+1/2,-z'
'x+1/2,-y,-z'
'-x+1/2,y,z'
'-x,y+1/2,-z'
'x,-y+1/2,z'
loop_
_atom_site_label
_atom_site_type_symbol
_atom_site_fract_x
_atom_site_fract_y
_atom_site_fract_z
Sr1 Sr 0.250 0.088 0.248
Sr2 Sr 0.250 0.750 0.242
Li1 Li 0.250 0.057 0.915
Li2 Li 0.250 0.250 0.010
Li3 Li 0.250 0.250 0.508
Li4 Li 0.250 0.581 0.497
Au1 Au 0.250 0.080 0.658
Au2 Au 0.250 0.638 0.975
Au3 Au 0.250 0.750 0.633
```

Main lines, low angle first (2θ from 10° to 90°):
Position (°2θ)	I/Imax	hkl
22.99	41	1 1 1
23.99	100	0 0 3
25.88	87	0 3 2
26.02	43	1 0 2
26.90	47	1 1 2
28.94	70	1 3 0
30.06	83	1 3 1
31.71	54	1 0 3
33.20	100	1 3 2
41.57	53	2 0 0
45.74	58	0 3 5
49.62	35	2 3 2

(3)
This entry pairs a crystal structure of SrLiTe2Au with its computed X-ray powder pattern. Radiation: λ = 1.5418 Å (Cu Kα). Structure: a crystal structure in Alexandria, relaxed with PBE.

Structural model:
```
data_SrLiTe2Au
_chemical_formula_sum 'Sr4 Li4 Te8 Au4'
_cell_length_a 6.256
_cell_length_b 15.549
_cell_length_c 5.936
_cell_angle_alpha 90.00
_cell_angle_beta 90.00
_cell_angle_gamma 90.00
_symmetry_space_group_name_H-M 'C m m e'
_symmetry_Int_Tables_number 67
_symmetry_space_group_name_Hall '-C 2a 2'
loop_
_atom_site_label
_atom_site_type_symbol
_atom_site_fract_x
_atom_site_fract_y
_atom_site_fract_z
Sr1 Sr 0.000 0.250 0.229
Li1 Li 0.250 0.000 0.500
Te1 Te 0.000 0.135 0.734
Au1 Au 0.000 0.000 0.000
```

Main lines, low angle first (2θ from 10° to 90°):
Position (°2θ)	I/Imax	hkl
14.92	50	0 0 1
18.81	64	0 2 1
26.92	87	1 3 1
27.43	41	0 4 1
28.53	100	2 0 0
32.30	71	0 2 2
34.40	33	2 2 1
35.61	74	1 5 1
38.15	41	0 4 2
39.99	33	2 4 1
43.62	43	2 2 2
48.32	40	2 4 2

(4)
This entry pairs a crystal structure of Sr2Li3TlAu4 with its computed X-ray powder pattern. Radiation: λ = 1.5418 Å (Cu Kα). Structure: a crystal structure in Alexandria, relaxed with PBE.

Structural model:
```
data_Sr2Li3TlAu4
_chemical_formula_sum 'Sr2 Li3 Tl1 Au4'
_cell_length_a 4.533
_cell_length_b 4.533
_cell_length_c 11.238
_cell_angle_alpha 90.00
_cell_angle_beta 90.00
_cell_angle_gamma 90.00
_symmetry_space_group_name_H-M 'P -4 m 2'
_symmetry_Int_Tables_number 115
loop_
_symmetry_equiv_pos_as_xyz
'x,y,z'
'y,-x,-z'
'-x,-y,z'
'-y,x,-z'
'-x,y,z'
'-y,-x,-z'
'x,-y,z'
'y,x,-z'
loop_
_atom_site_label
_atom_site_type_symbol
_atom_site_fract_x
_atom_site_fract_y
_atom_site_fract_z
Sr1 Sr 0.000 0.500 0.231
Li1 Li 0.000 0.500 0.891
Li2 Li 0.500 0.500 0.500
Tl1 Tl 0.000 0.000 0.500
Au1 Au 0.000 0.000 0.000
Au2 Au 0.000 0.500 0.662
Au3 Au 0.500 0.500 0.000
```

Main lines, low angle first (2θ from 10° to 90°):
Position (°2θ)	I/Imax	hkl
21.13	20	1 0 1
23.75	16	0 0 3
25.24	38	1 0 2
28.97	20	1 1 1
32.15	100	1 1 2
37.67	15	1 0 4
39.77	44	2 0 0
42.80	25	1 1 4
45.02	14	1 0 5
47.69	14	2 1 2
57.51	15	2 2 0
67.43	24	3 1 2